[1]
This entry pairs a crystal structure of MnH2Br5 with its simulated powder diffractogram. Radiation: Cu Kα (weighted mean of Kα1 and Kα2). Structure: a DFT-relaxed cell (GGA-PBE, Alexandria).
No peak broadening, texture or thermal motion is included.

Cell and atoms:
Cell: 6.9151 6.9151 11.5226 Å, 90.00 90.00 90.00°
Space group I4 (No. 79)
Symmetry-distinct sites (fractional):
Mn 0.0000 0.0000 0.0000 (multiplicity 2)
H 0.0000 0.5000 0.0430 (multiplicity 4)
Br 0.0000 0.0000 0.7942 (multiplicity 2)
Br 0.1632 0.6866 0.0503 (multiplicity 8)

Top 12 peaks for 2θ from 10° to 80°, in order of rising 2θ:
2θ 14.9, intensity 64, (1 0 1)
2θ 15.4, intensity 87, (0 0 2)
2θ 23.9, intensity 16, (1 1 2)
2θ 29.9, intensity 100, (2 1 1)
2θ 30.1, intensity 38, (2 0 2)
2θ 31.0, intensity 33, (0 0 4)
2θ 37.3, intensity 47, (2 1 3)
2θ 41.3, intensity 31, (3 1 0)
2θ 49.3, intensity 28, (1 2 5)
2θ 52.5, intensity 20, (3 1 4)
2θ 55.4, intensity 22, (1 4 1)
2θ 60.2, intensity 15, (1 4 3)

[2]
This entry pairs a crystal structure of PuTi3Nb with its simulated powder diffractogram. Radiation: Cu Kα (weighted mean of Kα1 and Kα2). Structure: a DFT-relaxed cell (GGA-PBE, Alexandria).
No peak broadening, texture or thermal motion is included.

Cell and atoms:
Cell: 2.8845 7.2846 8.4246 Å, 86.34 86.43 79.58°
Space group P-1 (No. 2)
Symmetry-distinct sites (fractional):
Pu 0.1409 0.3986 0.1032 (multiplicity 2)
Ti 0.0573 0.8742 0.7585 (multiplicity 2)
Ti 0.3944 0.4886 0.3574 (multiplicity 2)
Ti 0.4736 0.8084 0.0963 (multiplicity 2)
Nb 0.2351 0.1660 0.5689 (multiplicity 2)

Top 12 peaks for 2θ from 10° to 80°, in order of rising 2θ:
2θ 10.5, intensity 66, (0 0 1)
2θ 12.4, intensity 72, (0 1 0)
2θ 15.8, intensity 100, (0 1 1)
2θ 24.0, intensity 33, (0 1 2)
2θ 26.6, intensity 24, (0 2 1)
2θ 31.8, intensity 25, (1 1 0)
2θ 37.4, intensity 19, (1 0 2)
2θ 37.5, intensity 19, (1 2 1)
2θ 38.0, intensity 40, (-1 1 1)
2θ 39.3, intensity 44, (1 2 -1)
2θ 39.8, intensity 69, (0 2 3)
2θ 42.0, intensity 23, (0 2 -3)

[3]
This entry pairs a crystal structure of Ce2Al3Pd4 with its simulated powder diffractogram. Radiation: Cu Kα (weighted mean of Kα1 and Kα2). Structure: a DFT-relaxed cell (GGA-PBE, Alexandria).
No peak broadening, texture or thermal motion is included.

Cell and atoms:
Cell: 5.7514 15.8022 7.4054 Å, 90.00 90.00 90.00°
Space group Cmce (No. 64)
Symmetry-distinct sites (fractional):
Ce 0.0000 0.1064 0.0861 (multiplicity 8)
Al 0.0000 0.0000 0.5000 (multiplicity 4)
Al 0.2500 0.2322 0.7500 (multiplicity 8)
Pd 0.0000 0.1778 0.4793 (multiplicity 8)
Pd 0.2500 0.0672 0.7500 (multiplicity 8)

Top 12 peaks for 2θ from 10° to 80°, in order of rising 2θ:
2θ 22.5, intensity 26, (0 4 0)
2θ 33.4, intensity 33, (1 3 2)
2θ 34.6, intensity 100, (1 5 1)
2θ 35.4, intensity 59, (2 2 1)
2θ 38.2, intensity 54, (0 2 3)
2θ 38.7, intensity 18, (2 4 0)
2θ 39.7, intensity 76, (2 0 2)
2θ 40.7, intensity 19, (2 4 1)
2θ 42.1, intensity 20, (0 6 2)
2θ 56.2, intensity 19, (1 9 1)
2θ 57.6, intensity 23, (3 5 1)
2θ 70.2, intensity 19, (2 6 4)

[4]
This entry pairs a crystal structure of Sm2DyHo2Er with its simulated powder diffractogram. Radiation: Cu Kα (weighted mean of Kα1 and Kα2). Structure: a DFT-relaxed cell (GGA-PBE, Alexandria).
No peak broadening, texture or thermal motion is included.

Cell and atoms:
Cell: 6.6358 17.5184 3.3629 Å, 90.00 90.00 90.00°
Space group Pnnm (No. 58)
Symmetry-distinct sites (fractional):
Sm 0.2369 0.1506 0.0000 (multiplicity 4)
Dy 0.0000 0.0000 0.5000 (multiplicity 2)
Ho 0.2412 0.3228 0.5000 (multiplicity 4)
Er 0.0000 0.5000 0.5000 (multiplicity 2)

Top 12 peaks for 2θ from 10° to 80°, in order of rising 2θ:
2θ 27.0, intensity 20, (0 1 1)
2θ 28.8, intensity 60, (2 2 0)
2θ 29.8, intensity 15, (1 0 1)
2θ 30.6, intensity 100, (0 6 0)
2θ 31.5, intensity 26, (1 2 1)
2θ 33.6, intensity 14, (1 6 0)
2θ 33.9, intensity 43, (2 4 0)
2θ 36.3, intensity 20, (1 4 1)
2θ 38.5, intensity 14, (2 1 1)
2θ 41.2, intensity 48, (2 3 1)
2θ 62.9, intensity 13, (2 2 2)
2θ 64.6, intensity 22, (4 6 0)